# HoAl6Os
Theoretical powder diffractogram, copper Kα. Input: a crystal structure in Alexandria, relaxed with PBE.
Intensities are scaled so that the largest is 100.

Most intense lines, 2θ = 10–90°, sorted by position:
4.392 Å, 20.22 deg, rel. 100.0, hkl 0 1 2; 3.355 Å, 26.56 deg, rel. 79.0, hkl 1 0 4; 2.905 Å, 30.78 deg, rel. 33.4, hkl 1 1 0; 2.423 Å, 37.11 deg, rel. 45.8, hkl 2 0 2; 2.196 Å, 41.10 deg, rel. 16.0, hkl 0 2 4; 2.088 Å, 43.34 deg, rel. 48.0, hkl 1 1 6; 2.055 Å, 44.06 deg, rel. 23.0, hkl 0 1 8; 1.861 Å, 48.96 deg, rel. 24.1, hkl 1 2 2; 1.752 Å, 52.22 deg, rel. 20.8, hkl 2 1 4; 1.464 Å, 63.54 deg, rel. 21.6, hkl 3 0 6; 1.453 Å, 64.11 deg, rel. 25.8, hkl 2 2 0; 1.333 Å, 70.66 deg, rel. 16.9, hkl 1 3 4

Structural model:
```
data_HoAl6Os
_chemical_formula_sum 'Ho3 Al18 Os3'
_symmetry_space_group_name_H-M 'R -3 m'
_symmetry_Int_Tables_number 166
_symmetry_space_group_name_Hall '-R 3 2"'
_cell_length_a 5.8095
_cell_length_b 5.8095
_cell_length_c 18.0131
_cell_angle_alpha 90.00
_cell_angle_beta 90.00
_cell_angle_gamma 120.00
loop_
_atom_site_label
_atom_site_type_symbol
_atom_site_fract_x
_atom_site_fract_y
_atom_site_fract_z
Ho1 Ho 0.0000 0.0000 0.0000
Al1 Al 0.0170 0.5085 0.9254
Os1 Os 0.0000 0.0000 0.5000
```